Record 1
Structure and theoretical PXRD pattern of SmDyErZn (the PBE geometry in Alexandria; Cu Kα (weighted mean of Kα1 and Kα2)).
Intensities are scaled so that the largest is 100.

Structural model:
```
4
Lattice="3.566 0.000 0.000 0.000 3.566 0.000 0.000 0.000 8.654" Properties=species:S:1:pos:R:3 pbc="T T T"
Sm 0.000 0.000 0.000
Dy 1.783 1.783 6.078
Er 1.783 1.783 2.553
Zn 0.000 0.000 4.285
```

The 6 most intense peaks (10 to 90 degrees two-theta), in order of falling intensity:
d [Å]	I/Imax
2.752	100
2.521	48
1.496	31
3.297	19
1.783	17
1.898	15

Record 2
Structure and theoretical PXRD pattern of BaAc8Ir6 (the PBE geometry in Alexandria; Cu Kα (weighted mean of Kα1 and Kα2)).
Intensities are scaled so that the largest is 100.

Structural model:
```
15
Lattice="3.820 2.205 10.185 -3.820 2.205 10.185 0.000 -4.411 10.185" Properties=species:S:1:pos:R:3 pbc="T T T"
Ba 0.000 0.000 0.000
Ac -2.551 0.014 13.488
Ac -1.288 -2.202 17.066
Ac 0.000 0.000 10.186
Ac 1.264 -2.216 13.488
Ac -1.263 2.216 17.067
Ac 0.000 0.000 20.369
Ac 1.288 2.202 13.488
Ac 2.551 -0.014 17.066
Ir -1.314 -2.136 12.083
Ir -2.507 0.070 18.471
Ir -1.193 2.206 12.083
Ir 1.193 -2.206 18.471
Ir 2.507 -0.070 12.083
Ir 1.314 2.136 18.471
```

The 6 most intense peaks (10 to 90 degrees two-theta), in order of falling intensity:
d [Å]	I/Imax
3.056	100
2.205	42
2.119	40
1.788	22
1.389	19
1.256	15

Record 3
Structure and theoretical PXRD pattern of K4Mg2H16S4O23 (the PBE geometry in Alexandria; Cu Kα (weighted mean of Kα1 and Kα2)).
Intensities are scaled so that the largest is 100.

Structural model:
```
49
Lattice="7.602 0.000 0.000 1.480 7.472 0.000 0.620 0.297 10.188" Properties=species:S:1:pos:R:3 pbc="T T T"
K 0.000 0.000 0.000
K 1.720 1.620 5.238
K 4.594 4.083 0.281
K 6.685 4.956 5.512
Mg 2.128 4.544 7.879
Mg 4.858 0.711 2.502
H 1.947 6.109 5.501
H 2.250 2.996 10.123
H 2.506 2.268 2.305
H 2.921 2.084 9.040
H 3.609 4.073 5.545
H 3.608 3.133 3.106
H 4.274 3.229 6.694
H 4.438 0.579 10.137
H 4.476 0.252 4.972
H 5.733 1.488 10.022
H 5.532 1.428 5.256
H 7.435 5.737 8.793
H 7.574 5.730 2.153
H 8.162 5.041 10.030
H 8.630 6.625 2.968
H 9.001 6.866 6.770
S 4.004 6.155 3.810
S 4.589 6.778 8.112
S 7.053 2.321 7.563
S 7.482 3.001 2.194
O 1.030 2.310 1.508
O 2.569 6.584 3.831
O 2.721 3.049 9.247
O 3.546 5.785 8.721
O 3.404 3.621 6.406
O 3.186 0.410 9.218
O 3.391 2.226 2.773
O 4.085 4.659 3.866
O 4.646 6.696 5.045
O 4.710 6.675 2.605
O 5.916 6.016 8.158
O 4.638 0.594 0.465
O 5.226 0.773 4.579
O 5.877 2.501 6.644
O 6.658 2.553 8.973
O 6.274 2.149 2.063
O 7.200 4.290 1.470
O 7.796 6.664 2.439
O 8.336 5.475 9.153
O 7.821 3.266 3.602
O 7.618 0.955 7.405
O 8.106 3.309 7.146
O 9.116 5.955 6.379
```

The 6 most intense peaks (10 to 90 degrees two-theta), in order of falling intensity:
d [Å]	I/Imax
3.480	100
3.535	63
5.868	48
2.859	41
3.362	31
2.414	30

Record 4
Structure and theoretical PXRD pattern of TmHfTh (the PBE geometry in Alexandria; Cu Kα (weighted mean of Kα1 and Kα2)).
Intensities are scaled so that the largest is 100.

Structural model:
```
3
Lattice="5.360 0.000 0.000 -2.680 4.642 0.000 0.000 0.000 3.402" Properties=species:S:1:pos:R:3 pbc="T T T"
Tm 0.000 0.000 0.000
Hf 0.000 3.095 0.000
Th 2.680 1.547 1.701
```

The 6 most intense peaks (10 to 90 degrees two-theta), in order of falling intensity:
d [Å]	I/Imax
2.744	100
2.680	97
1.559	37
1.917	36
1.436	29
1.547	19

Record 5
Structure and theoretical PXRD pattern of Tm6ZnPd12 (the PBE geometry in Alexandria; Cu Kα (weighted mean of Kα1 and Kα2)).
Intensities are scaled so that the largest is 100.

Structural model:
```
19
Lattice="5.339 3.082 3.656 -5.339 3.082 3.656 0.000 -6.165 3.656" Properties=species:S:1:pos:R:3 pbc="T T T"
Tm -0.849 -3.006 4.693
Tm -3.027 -0.768 6.274
Tm -2.179 2.238 4.693
Tm 2.179 -2.238 6.274
Tm 3.027 0.768 4.693
Tm 0.849 3.006 6.274
Zn 0.000 0.000 5.484
Pd -3.753 -3.624 6.098
Pd -5.015 1.439 4.869
Pd -1.667 -0.560 3.632
Pd 1.261 -5.062 4.869
Pd 1.319 -1.163 3.632
Pd 0.348 1.723 3.632
Pd -0.348 -1.723 7.335
Pd -1.319 1.163 7.335
Pd -1.261 5.062 6.098
Pd 1.667 0.560 7.335
Pd 5.015 -1.439 6.098
Pd 3.753 3.624 4.869
```

The 6 most intense peaks (10 to 90 degrees two-theta), in order of falling intensity:
d [Å]	I/Imax
2.497	100
2.323	87
2.358	34
3.016	31
2.629	26
2.133	25

Record 6
Structure and theoretical PXRD pattern of Re2Ir6Ru (the PBE geometry in Alexandria; Cu Kα (weighted mean of Kα1 and Kα2)).
Intensities are scaled so that the largest is 100.

Structural model:
```
9
Lattice="5.967 -1.367 0.000 5.967 1.367 0.000 -1.893 0.000 8.009" Properties=species:S:1:pos:R:3 pbc="T T T"
Re 1.560 0.000 1.783
Re 8.481 0.000 6.226
Ir 0.301 0.000 7.146
Ir 0.959 0.000 4.441
Ir 5.349 0.000 2.635
Ir 4.692 0.000 5.374
Ir 9.082 0.000 3.568
Ir 9.739 0.000 0.863
Ru 5.967 0.000 0.000
```

The 6 most intense peaks (10 to 90 degrees two-theta), in order of falling intensity:
d [Å]	I/Imax
2.238	100
2.233	100
1.936	98
1.167	45
1.369	42
1.169	32